Starting from DFT lattice parameters and positions (GGA-PBE), the powder diffractogram of Hf2GaO4 was computed for Cu Kα.

Most intense lines, 10° ≤ 2θ ≤ 90°, in order of falling intensity:
2θ (°)  I_rel
31.98  100
16.54  62
33.45  50
56.06  45
51.14  41
38.81  33
66.87  25
79.29  22

Atomic structure:
abc: 9.281 9.281 9.281
angles: 90.00 90.00 90.00
Space group Fd-3m (No. 227, origin choice 2)
Inequivalent atoms, fractional coordinates:
Hf (0.000, 0.000, 0.000) x16
Ga (0.125, 0.125, 0.625) x8
O (0.021, 0.021, 0.229) x32

Starting from DFT lattice parameters and positions (GGA-PBE), the powder diffractogram of Hf2GaSbPd2 was computed for Cu Kα.

Most intense lines, 10° ≤ 2θ ≤ 90°, in order of falling intensity:
2θ (°)  I_rel
40.75  100
74.17  33
24.62  31
28.50  24
58.99  17
48.19  15
88.26  11
66.80  8

Atomic structure:
```
data_Hf2GaSbPd2
_chemical_formula_sum 'Hf8 Ga4 Sb4 Pd8'
_cell_length_a 6.265
_cell_length_b 6.265
_cell_length_c 12.517
_cell_angle_alpha 90.00
_cell_angle_beta 90.00
_cell_angle_gamma 90.00
_space_group_name_H-M_alt 'I -4 2 d'
_space_group_IT_number 122
_space_group_name_Hall 'I -4 2bw'
loop_
_atom_site_label
_atom_site_type_symbol
_atom_site_fract_x
_atom_site_fract_y
_atom_site_fract_z
Hf1 Hf 0.000 0.000 0.243
Ga1 Ga 0.000 0.000 0.000
Sb1 Sb 0.000 0.000 0.500
Pd1 Pd 0.248 0.250 0.125
```

Starting from DFT lattice parameters and positions (GGA-PBE), the powder diffractogram of Hf2GaSbPt2 was computed for Cu Kα.

Most intense lines, 10° ≤ 2θ ≤ 90°, in order of falling intensity:
2θ (°)  I_rel
40.58  100
24.52  49
47.99  25
73.81  23
58.69  11
73.91  11
64.62  10
87.88  7

Atomic structure:
```
data_Hf2GaSbPt2
_chemical_formula_sum 'Hf8 Ga4 Sb4 Pt8'
_cell_length_a 6.292
_cell_length_b 6.292
_cell_length_c 12.555
_cell_angle_alpha 90.00
_cell_angle_beta 90.00
_cell_angle_gamma 90.00
_space_group_name_H-M_alt 'I -4 2 d'
_space_group_IT_number 122
_space_group_name_Hall 'I -4 2bw'
loop_
_atom_site_label
_atom_site_type_symbol
_atom_site_fract_x
_atom_site_fract_y
_atom_site_fract_z
Hf1 Hf 0.000 0.000 0.244
Ga1 Ga 0.000 0.000 0.000
Sb1 Sb 0.000 0.000 0.500
Pt1 Pt 0.245 0.250 0.125
```

Starting from DFT lattice parameters and positions (GGA-PBE), the powder diffractogram of HfTlGaS3 was computed for Cu Kα.

Most intense lines, 10° ≤ 2θ ≤ 90°, in order of falling intensity:
2θ (°)  I_rel
31.70  100
21.19  91
22.25  53
42.31  36
36.48  36
38.42  33
27.39  27
30.35  25

Atomic structure:
```
data_HfTlGaS3
_chemical_formula_sum 'Hf4 Tl4 Ga4 S12'
_cell_length_a 3.534
_cell_length_b 15.984
_cell_length_c 9.851
_cell_angle_alpha 90.00
_cell_angle_beta 90.00
_cell_angle_gamma 90.00
_space_group_name_H-M_alt 'C m c m'
_space_group_IT_number 63
_space_group_name_Hall '-C 2c 2'
loop_
_atom_site_label
_atom_site_type_symbol
_atom_site_fract_x
_atom_site_fract_y
_atom_site_fract_z
Hf1 Hf 0.000 0.000 0.000
Tl1 Tl 0.000 0.263 0.250
Ga1 Ga 0.000 0.453 0.750
S1 S 0.000 0.056 0.750
S2 S 0.000 0.382 0.548
```

Starting from DFT lattice parameters and positions (GGA-PBE), the powder diffractogram of Hf3TaGa2 was computed for Cu Kα.

Most intense lines, 10° ≤ 2θ ≤ 90°, in order of falling intensity:
2θ (°)  I_rel
35.06  100
34.82  99
43.24  28
34.33  27
44.24  27
43.55  25
67.15  23
61.96  20

Atomic structure:
```
data_Hf3TaGa2
_chemical_formula_sum 'Hf12 Ta4 Ga8'
_cell_length_a 5.224
_cell_length_b 9.272
_cell_length_c 9.378
_cell_angle_alpha 90.00
_cell_angle_beta 90.00
_cell_angle_gamma 90.00
_space_group_name_H-M_alt 'F m m 2'
_space_group_IT_number 42
_space_group_name_Hall 'F 2 -2'
loop_
_atom_site_label
_atom_site_type_symbol
_atom_site_fract_x
_atom_site_fract_y
_atom_site_fract_z
Hf1 Hf 0.000 0.000 0.000
Hf2 Hf 0.000 0.155 0.653
Ta1 Ta 0.000 0.000 0.304
Ga1 Ga 0.250 0.250 0.400
```

Starting from DFT lattice parameters and positions (GGA-PBE), the powder diffractogram of Ga2Hg3 was computed for Cu Kα.

Most intense lines, 10° ≤ 2θ ≤ 90°, in order of falling intensity:
2θ (°)  I_rel
34.70  100
31.24  96
31.58  71
29.38  70
39.96  50
23.55  47
37.84  38
40.58  35

Atomic structure:
```
data_Ga2Hg3
_chemical_formula_sum 'Ga8 Hg12'
_cell_length_a 10.143
_cell_length_b 6.998
_cell_length_c 7.827
_cell_angle_alpha 90.00
_cell_angle_beta 118.77
_cell_angle_gamma 90.00
_space_group_name_H-M_alt 'C 1 c 1'
_space_group_IT_number 9
loop_
_space_group_symop_operation_xyz
'x,y,z'
'x,-y,z+1/2'
'x+1/2,y+1/2,z'
'x+1/2,-y+1/2,z+1/2'
loop_
_atom_site_label
_atom_site_type_symbol
_atom_site_fract_x
_atom_site_fract_y
_atom_site_fract_z
Ga1 Ga 0.000 0.014 0.000
Ga2 Ga 0.146 0.346 0.702
Hg1 Hg 0.258 0.042 0.388
Hg2 Hg 0.299 0.340 0.125
Hg3 Hg 0.495 0.153 0.780
```

Starting from DFT lattice parameters and positions (GGA-PBE), the powder diffractogram of Ho2TmInGa2Hg3 was computed for Cu Kα.

Most intense lines, 10° ≤ 2θ ≤ 90°, in order of falling intensity:
2θ (°)  I_rel
34.74  100
31.64  94
37.53  48
40.52  33
56.41  30
67.81  22
42.79  22
56.24  13

Atomic structure:
```
data_Ho2TmInGa2Hg3
_chemical_formula_sum 'Ho4 Tm2 In2 Ga4 Hg6'
_cell_length_a 4.452
_cell_length_b 12.668
_cell_length_c 7.330
_cell_angle_alpha 90.00
_cell_angle_beta 90.00
_cell_angle_gamma 90.00
_space_group_name_H-M_alt 'A m m 2'
_space_group_IT_number 38
loop_
_space_group_symop_operation_xyz
'x,y,z'
'-x,-y,z'
'-x,y,z'
'x,-y,z'
'x,y+1/2,z+1/2'
'-x,-y+1/2,z+1/2'
'-x,y+1/2,z+1/2'
'x,-y+1/2,z+1/2'
loop_
_atom_site_label
_atom_site_type_symbol
_atom_site_fract_x
_atom_site_fract_y
_atom_site_fract_z
Ho1 Ho 0.000 0.219 0.000
Tm1 Tm 0.000 0.000 0.658
In1 In 0.000 0.000 0.220
Ga1 Ga 0.500 0.166 0.719
Hg1 Hg 0.500 0.000 0.955
Hg2 Hg 0.500 0.132 0.351
```

Starting from DFT lattice parameters and positions (GGA-PBE), the powder diffractogram of InGaHgTeSe3 was computed for Cu Kα.

Most intense lines, 10° ≤ 2θ ≤ 90°, in order of falling intensity:
2θ (°)  I_rel
25.85  100
25.67  48
43.54  41
26.43  38
42.46  24
42.31  24
43.04  23
43.21  20

Atomic structure:
```
data_InGaHgTeSe3
_chemical_formula_sum 'In1 Ga1 Hg1 Te1 Se3'
_cell_length_a 5.943
_cell_length_b 6.025
_cell_length_c 7.138
_cell_angle_alpha 113.24
_cell_angle_beta 113.52
_cell_angle_gamma 91.14
_space_group_name_H-M_alt 'P 1'
_space_group_IT_number 1
loop_
_space_group_symop_operation_xyz
'x,y,z'
loop_
_atom_site_label
_atom_site_type_symbol
_atom_site_fract_x
_atom_site_fract_y
_atom_site_fract_z
In1 In 0.000 0.000 0.000
Ga1 Ga 0.258 0.772 0.514
Hg1 Hg 0.763 0.260 0.507
Te1 Te 0.388 0.426 0.228
Se1 Se 0.176 0.644 0.772
Se2 Se 0.602 0.139 0.771
Se3 Se 0.878 0.846 0.254
```